1.
Structure and calculated X-ray diffraction stick pattern of Pr4In5Cu19 (a DFT-relaxed cell (PBE, the Materials Project); Cu Kα (λ = 1.5418 Å)).
Neutral-atom scattering factors, no anomalous dispersion.

Atomic structure:
a b c (Å): 8.4898 5.1355 10.7481
angles (deg): 90.00 90.43 90.00
Element x y z (fractional)
Pr 0.0000 0.0000 0.0000
Pr 0.0102 0.5000 0.5067
Pr 0.4948 0.0000 0.3954
Pr 0.5084 0.5000 0.8768
In 0.1172 0.0000 0.3060
In 0.3939 0.5000 0.5822
In 0.5658 0.5000 0.2015
In 0.6170 0.0000 0.0738
In 0.8940 0.5000 0.8047
Cu 0.0684 0.5000 0.1857
Cu 0.1708 0.5000 0.9573
Cu 0.1875 0.2489 0.7543
Cu 0.1875 0.7511 0.7543
Cu 0.1944 0.0000 0.5516
Cu 0.2995 0.5000 0.3414
Cu 0.3096 0.2439 0.1301
Cu 0.3096 0.7561 0.1301
Cu 0.3348 0.0000 0.9272
Cu 0.4372 0.0000 0.7017
Cu 0.6762 0.5000 0.4346
Cu 0.6877 0.2475 0.6327
Cu 0.6877 0.7525 0.6327
Cu 0.6975 0.0000 0.8344
Cu 0.8212 0.5000 0.0469
Cu 0.8305 0.2455 0.2571
Cu 0.8305 0.7545 0.2571
Cu 0.8347 0.0000 0.4591
Cu 0.9380 0.0000 0.6871

The 6 most intense peaks (2θ = 10–90°), most intense first:
Position (°2θ)	intensity
37.15	100.0
37.31	89.1
34.94	66.6
43.49	58.9
41.97	42.5
30.42	39.8


2.
Structure and calculated X-ray diffraction stick pattern of Al4CdO7 (a DFT-relaxed cell (PBE, the Materials Project); Cu Kα (λ = 1.5418 Å)).
Neutral-atom scattering factors, no anomalous dispersion.

Atomic structure:
a b c (Å): 7.8224 7.8224 5.4663
angles (deg): 103.11 103.11 70.03
Element x y z (fractional)
Al 0.0600 0.1828 0.2318
Al 0.1828 0.0600 0.7318
Al 0.2582 0.4247 0.6852
Al 0.4247 0.2582 0.1852
Al 0.5753 0.7418 0.8148
Al 0.7418 0.5753 0.3148
Al 0.8172 0.9400 0.2682
Al 0.9400 0.8172 0.7682
Cd 0.2945 0.7055 0.2500
Cd 0.7055 0.2945 0.7500
O 0.0289 0.9711 0.2500
O 0.1339 0.6339 0.8520
O 0.1442 0.2478 0.5669
O 0.2478 0.1442 0.0669
O 0.3218 0.4491 0.4078
O 0.3661 0.8661 0.6480
O 0.4491 0.3218 0.9078
O 0.5509 0.6782 0.0922
O 0.6339 0.1339 0.3520
O 0.6782 0.5509 0.5922
O 0.7522 0.8558 0.9331
O 0.8558 0.7522 0.4331
O 0.8661 0.3661 0.1480
O 0.9711 0.0289 0.7500

The 6 most intense peaks (2θ = 10–90°), most intense first:
Position (°2θ)	intensity
25.56	100.0
14.39	53.7
24.55	46.8
34.26	40.6
32.75	37.4
37.16	34.3